# Ca2SiO4
Computed X-ray diffraction stick pattern, Cu Kα (weighted mean of Kα1 and Kα2). Input: a cell relaxed with PBE.

Main lines, low angle first (2θ = 10–90°):
2θ 26.94, I = 100
2θ 27.75, I = 30
2θ 29.86, I = 85
2θ 30.83, I = 34
2θ 31.12, I = 31
2θ 31.46, I = 53
2θ 34.25, I = 28
2θ 38.41, I = 37
2θ 45.16, I = 26
2θ 45.80, I = 47

Cell lengths 5.7724, 8.2952, 9.2113 Å; angles 90.00, 118.22, 90.00 degrees
Fractional positions:
Ca 0.0822 0.1581 0.3725
Ca 0.0822 0.3419 0.8725
Ca 0.3533 0.0124 0.1369
Ca 0.3533 0.4876 0.6369
Ca 0.6467 0.5124 0.3631
Ca 0.6467 0.9876 0.8631
Ca 0.9178 0.6581 0.1275
Ca 0.9178 0.8419 0.6275
Si 0.2586 0.6945 0.9634
Si 0.2586 0.8055 0.4634
Si 0.7414 0.1945 0.5366
Si 0.7414 0.3055 0.0366
O 0.0163 0.6792 0.4348
O 0.0163 0.8208 0.9348
O 0.1713 0.6029 0.7883
O 0.1713 0.8971 0.2883
O 0.2879 0.5629 0.1049
O 0.2879 0.9371 0.6049
O 0.4745 0.1931 0.9765
O 0.4745 0.3069 0.4765
O 0.5255 0.6931 0.5235
O 0.5255 0.8069 0.0235
O 0.7121 0.0629 0.3951
O 0.7121 0.4371 0.8951
O 0.8287 0.1029 0.7117
O 0.8287 0.3971 0.2117
O 0.9837 0.1792 0.0652
O 0.9837 0.3208 0.5652

# Ca2InN
Computed X-ray diffraction stick pattern, Cu Kα (weighted mean of Kα1 and Kα2). Input: a cell relaxed with PBE.

Main lines, low angle first (2θ = 10–90°):
2θ 24.95, I = 32
2θ 25.73, I = 46
2θ 28.60, I = 25
2θ 31.42, I = 45
2θ 31.85, I = 100
2θ 33.68, I = 38
2θ 33.85, I = 34
2θ 35.90, I = 49
2θ 38.31, I = 41
2θ 62.33, I = 27

Cell lengths 3.5140, 20.3739, 5.0030 Å; angles 90.00, 90.00, 90.00 degrees
Fractional positions:
Ca 0.0000 0.1212 0.2500
Ca 0.0000 0.2811 0.2500
Ca 0.0000 0.7189 0.7500
Ca 0.0000 0.8788 0.7500
Ca 0.5000 0.2189 0.7500
Ca 0.5000 0.3788 0.7500
Ca 0.5000 0.6212 0.2500
Ca 0.5000 0.7811 0.2500
In 0.0000 0.4611 0.2500
In 0.0000 0.5389 0.7500
In 0.5000 0.0389 0.7500
In 0.5000 0.9611 0.2500
N 0.0000 0.3009 0.7500
N 0.0000 0.6991 0.2500
N 0.5000 0.1991 0.2500
N 0.5000 0.8009 0.7500

# NbP
Computed X-ray diffraction stick pattern, Cu Kα (weighted mean of Kα1 and Kα2). Input: a cell relaxed with PBE.

Main lines, low angle first (2θ = 10–90°):
2θ 26.73, I = 39
2θ 34.23, I = 40
2θ 36.25, I = 18
2θ 40.13, I = 100
2θ 52.00, I = 23
2θ 59.42, I = 8
2θ 63.74, I = 24
2θ 65.29, I = 23
2θ 76.62, I = 7
2θ 86.66, I = 11

Cell lengths 3.5174, 3.5174, 10.4773 Å; angles 90.00, 90.00, 90.00 degrees
Fractional positions:
Nb 0.0000 0.2500 0.3750
Nb 0.0000 0.7500 0.6250
Nb 0.5000 0.2500 0.1250
Nb 0.5000 0.7500 0.8750
P 0.0000 0.2500 0.8750
P 0.0000 0.7500 0.1250
P 0.5000 0.2500 0.6250
P 0.5000 0.7500 0.3750